Calculated powder diffraction line list
Compound: Nd4W3N10
Radiation: Cu Kα, 1.54184 Å
Structure: a crystal structure in Alexandria, relaxed with PBE
Peak positions follow from Bragg's law for the DFT cell and can differ from measured ones.

Crystal structure
```
Nd4W3N10
1.0
-1.998 1.998 14.220
1.998 -1.998 14.220
1.998 1.998 -14.220
Nd W N
4 3 10
Cartesian
0.000 0.000 1.941 Nd
0.000 0.000 5.747 Nd
0.000 0.000 22.693 Nd
0.000 0.000 26.499 Nd
0.000 0.000 10.159 W
0.000 0.000 14.220 W
0.000 0.000 18.280 W
1.998 0.000 0.000 N
1.998 0.000 3.993 N
0.000 0.000 8.149 N
1.998 0.000 10.227 N
0.000 0.000 12.219 N
0.000 1.998 0.000 N
0.000 0.000 16.221 N
0.000 1.998 3.993 N
0.000 0.000 20.291 N
0.000 1.998 10.227 N
```

Principal peaks in the range 2θ from 15° to 90°, low angle first:
2theta, I/Imax
31.4, 100
31.7, 56
44.6, 11
45.4, 27
55.7, 17
56.2, 40
65.5, 13
66.2, 8
75.1, 9
75.2, 10